No. 1
Starting from DFT lattice parameters and positions (GGA-PBE), the powder diffraction line list of CsNpAgSe2 was simulated for a wavelength of 1.5418 Å.

Crystal structure
```
CsNpAgSe2
1.0
3.023 -8.167 0.000
3.023 8.167 0.000
0.000 0.000 6.495
Cs Np Ag Se
2 2 2 4
Cartesian
3.023 4.084 4.994
3.023 -4.084 1.501
1.512 0.000 3.247
4.535 0.000 3.247
0.000 0.000 0.000
3.023 0.000 0.000
3.023 6.248 1.702
3.023 1.920 1.702
3.023 -1.920 4.793
3.023 -6.248 4.793
```

Top 10 peaks for 5° ≤ 2θ ≤ 70°, sorted by position:
2theta, I/Imax
10.8, 100
21.8, 41
25.9, 73
29.6, 87
32.7, 36
34.5, 56
35.3, 34
39.6, 49
40.8, 27
43.4, 36

No. 2
Starting from DFT lattice parameters and positions (GGA-PBE), the powder diffraction line list of Cs4AgO was simulated for a wavelength of 1.5418 Å.

Crystal structure
```
Cs4AgO
1.0
8.157 0.000 0.000
0.000 8.157 0.000
0.000 0.000 9.489
Cs Ag O
8 2 2
Cartesian
0.000 0.000 1.927
0.000 0.000 7.562
1.519 2.560 4.745
2.560 6.638 4.745
4.078 4.078 1.927
4.078 4.078 7.562
5.597 1.519 4.745
6.638 5.597 4.745
0.000 4.078 0.000
4.078 0.000 0.000
0.000 0.000 4.745
4.078 4.078 4.745
```

Top 10 peaks for 5° ≤ 2θ ≤ 70°, sorted by position:
2theta, I/Imax
23.7, 100
24.3, 94
26.2, 38
28.9, 35
31.0, 79
32.3, 31
45.4, 50
50.0, 28
51.3, 28
53.2, 25

No. 3
Starting from DFT lattice parameters and positions (GGA-PBE), the powder diffraction line list of Cs12AgO3 was simulated for a wavelength of 1.5418 Å.

Crystal structure
```
Cs12AgO3
1.0
16.323 0.000 0.000
-8.162 14.136 0.000
0.000 0.000 10.652
Cs Ag O
24 2 6
Cartesian
-1.196 2.765 2.663
-4.022 7.938 7.989
-5.169 13.790 2.663
1.796 2.419 7.989
-0.412 6.340 0.457
-0.412 6.340 4.869
-2.465 11.323 0.457
-2.465 11.323 4.869
3.298 6.684 7.989
5.285 3.527 5.783
5.285 3.527 10.195
7.438 0.486 2.663
0.724 13.651 7.989
2.877 10.609 0.457
2.877 10.609 4.869
4.863 7.453 2.663
10.626 2.813 5.783
10.626 2.813 10.195
8.574 7.796 5.783
8.574 7.796 10.195
6.365 11.718 2.663
13.331 0.346 7.989
12.184 6.198 2.663
9.358 11.371 7.989
0.000 9.424 7.989
8.162 4.712 2.663
-1.591 5.393 2.663
-2.696 12.818 2.663
3.875 4.074 7.989
4.287 10.063 2.663
10.858 1.319 7.989
9.752 8.744 7.989
```

Top 10 peaks for 5° ≤ 2θ ≤ 70°, sorted by position:
2theta, I/Imax
13.7, 44
15.0, 22
20.9, 29
22.7, 32
23.6, 100
24.2, 42
25.2, 22
33.6, 18
34.1, 25
46.7, 18

No. 4
Starting from DFT lattice parameters and positions (GGA-PBE), the powder diffraction line list of Cs6AgO2 was simulated for a wavelength of 1.5418 Å.

Crystal structure
```
Cs6AgO2
1.0
7.559 -3.122 0.000
7.559 3.122 0.000
-5.865 0.000 9.582
Cs Ag O
6 1 2
Cartesian
-0.721 0.000 1.667
-1.108 0.000 8.935
2.788 0.000 3.386
6.465 0.000 6.196
10.362 0.000 0.647
9.974 0.000 7.915
-2.932 0.000 4.791
2.156 0.000 0.745
7.098 0.000 8.836
```

Top 10 peaks for 5° ≤ 2θ ≤ 70°, sorted by position:
2theta, I/Imax
15.8, 25
16.3, 24
21.5, 42
23.8, 28
24.0, 21
25.2, 100
28.6, 56
28.8, 49
34.4, 47
37.5, 27

No. 5
Starting from DFT lattice parameters and positions (GGA-PBE), the powder diffraction line list of Cs3AgO2 was simulated for a wavelength of 1.5418 Å.

Crystal structure
```
Cs3AgO2
1.0
6.410 0.000 0.000
0.000 12.367 0.000
0.000 0.000 4.687
Cs Ag O
6 2 4
Cartesian
0.000 0.000 0.000
0.550 3.287 2.343
2.655 9.470 0.000
3.205 6.184 2.343
3.755 2.897 0.000
5.860 9.081 2.343
0.000 6.184 0.000
3.205 0.000 2.343
1.467 4.740 0.000
1.738 10.924 2.343
4.671 1.444 2.343
4.943 7.627 0.000
```

Top 10 peaks for 5° ≤ 2θ ≤ 70°, sorted by position:
2theta, I/Imax
27.6, 100
27.8, 13
28.8, 12
28.9, 21
38.4, 14
40.5, 13
48.7, 15
50.4, 17
57.1, 9
63.1, 9

No. 6
Starting from DFT lattice parameters and positions (GGA-PBE), the powder diffraction line list of Cs6Ag3O was simulated for a wavelength of 1.5418 Å.

Crystal structure
```
Cs6Ag3O
1.0
8.798 0.000 0.000
0.000 9.500 0.000
-8.200 0.000 12.521
Cs Ag O
12 6 2
Cartesian
-0.879 0.417 2.727
-4.979 4.333 8.987
1.390 6.921 0.790
-2.710 7.329 7.050
2.449 1.528 0.587
-1.651 3.222 6.848
2.249 6.278 5.673
-1.851 7.972 11.934
3.308 2.171 5.471
-0.792 2.579 11.732
5.577 5.167 3.534
1.477 9.083 9.794
-3.653 0.797 9.441
0.447 3.953 3.181
0.299 0.000 6.261
4.399 4.750 0.000
0.150 5.547 9.341
4.250 8.703 3.080
0.000 0.000 0.000
-4.100 4.750 6.261
```

Top 10 peaks for 5° ≤ 2θ ≤ 70°, sorted by position:
2theta, I/Imax
22.6, 63
23.1, 83
23.5, 70
23.7, 100
25.3, 66
25.9, 68
27.7, 48
28.5, 65
30.7, 87
34.5, 52

No. 7
Starting from DFT lattice parameters and positions (GGA-PBE), the powder diffraction line list of CsAgPdO2 was simulated for a wavelength of 1.5418 Å.

Crystal structure
```
CsAgPdO2
1.0
3.154 -7.055 0.000
3.154 7.055 0.000
0.000 0.000 4.751
Cs Ag Pd O
2 2 2 4
Cartesian
3.154 3.527 3.846
3.154 -3.527 0.905
0.000 0.000 0.000
3.154 0.000 0.000
1.577 0.000 2.375
4.731 0.000 2.375
3.154 5.734 2.228
3.154 1.321 2.228
3.154 -1.321 2.523
3.154 -5.734 2.523
```

Top 10 peaks for 5° ≤ 2θ ≤ 70°, sorted by position:
2theta, I/Imax
12.5, 54
24.3, 57
25.2, 100
30.3, 38
34.1, 47
36.5, 37
40.1, 58
42.9, 75
54.9, 23
67.5, 24

No. 8
Starting from DFT lattice parameters and positions (GGA-PBE), the powder diffraction line list of CsPu2AgO8 was simulated for a wavelength of 1.5418 Å.

Crystal structure
```
CsPu2AgO8
1.0
6.008 0.000 0.000
-3.004 5.203 0.000
0.000 0.000 7.180
Cs Pu Ag O
1 2 1 8
Cartesian
0.000 0.000 0.000
0.000 3.469 3.188
3.004 1.734 3.993
0.000 0.000 3.590
-0.785 2.025 4.468
-0.858 4.871 4.468
0.000 3.469 1.327
1.361 1.692 2.712
1.643 3.511 4.468
3.004 1.734 5.853
3.862 0.332 2.712
3.789 3.179 2.712
```

Top 10 peaks for 5° ≤ 2θ ≤ 70°, sorted by position:
2theta, I/Imax
12.3, 100
21.1, 61
24.8, 29
29.7, 82
30.2, 17
32.3, 39
39.1, 54
41.5, 17
52.8, 21
67.6, 16

No. 9
Starting from DFT lattice parameters and positions (GGA-PBE), the powder diffraction line list of Cs4Rb2Ag2O was simulated for a wavelength of 1.5418 Å.

Crystal structure
```
Cs4Rb2Ag2O
1.0
7.299 -4.220 0.000
7.299 4.220 0.000
-2.213 0.000 7.617
Cs Rb Ag O
4 2 2 1
Cartesian
4.703 2.210 5.162
7.681 2.210 2.455
4.703 -2.210 5.162
7.681 -2.210 2.455
0.774 0.000 6.052
11.610 0.000 1.565
4.028 0.000 2.079
8.357 0.000 5.537
-1.106 0.000 3.808
```

Top 10 peaks for 5° ≤ 2θ ≤ 70°, sorted by position:
2theta, I/Imax
11.6, 36
23.3, 73
24.6, 68
24.8, 92
25.7, 70
28.8, 100
30.9, 41
31.6, 68
42.9, 37
44.3, 36

No. 10
Starting from DFT lattice parameters and positions (GGA-PBE), the powder diffraction line list of Cs2AgSO4 was simulated for a wavelength of 1.5418 Å.

Crystal structure
```
Cs2AgSO4
1.0
7.185 0.000 0.000
0.000 7.185 0.000
0.000 0.000 7.519
Cs Ag S O
4 2 2 8
Cartesian
0.000 0.000 0.000
0.000 3.592 1.880
3.592 0.000 5.639
3.592 3.592 3.759
0.000 0.000 3.759
3.592 3.592 0.000
0.000 3.592 5.639
3.592 0.000 1.880
0.845 2.705 6.508
0.887 4.438 4.770
2.705 6.339 1.011
2.747 0.887 2.749
4.438 6.298 2.749
4.479 0.845 1.011
6.298 2.747 4.770
6.339 4.479 6.508
```

Top 10 peaks for 5° ≤ 2θ ≤ 70°, sorted by position:
2theta, I/Imax
24.8, 78
29.6, 100
30.2, 11
35.3, 30
46.7, 52
50.8, 8
55.1, 16
57.4, 14
59.9, 13
61.4, 12

No. 11
Starting from DFT lattice parameters and positions (GGA-PBE), the powder diffraction line list of CsAg2SeO4 was simulated for a wavelength of 1.5418 Å.

Crystal structure
```
CsAg2SeO4
1.0
6.106 0.000 0.000
0.000 6.116 0.000
0.000 0.000 7.967
Cs Ag Se O
2 4 2 8
Cartesian
0.000 0.000 0.000
3.053 3.058 3.983
0.000 3.058 1.979
0.000 3.058 5.988
3.053 0.000 2.005
3.053 0.000 5.962
0.000 0.000 3.983
3.053 3.058 0.000
1.012 1.012 2.928
1.012 5.104 5.038
2.041 2.046 6.911
2.041 4.070 1.055
4.065 2.046 1.055
4.065 4.070 6.911
5.094 1.012 5.038
5.094 5.104 2.928
```

Top 10 peaks for 5° ≤ 2θ ≤ 70°, sorted by position:
2theta, I/Imax
29.2, 47
30.5, 100
34.7, 4
41.8, 22
45.5, 6
52.6, 42
55.0, 20
63.5, 11
68.7, 10
69.4, 9